No. 1
Structure and theoretical powder XRD pattern of BaHfMg6 (a DFT-relaxed cell (PBE, the Materials Project); Cu Kα (λ = 1.5418 Å)).

Structural model:
```
BaHfMg6
1.0
6.7006 0.0000 0.0000
0.0000 6.7006 0.0000
0.0000 0.0000 4.7665
Ba Hf Mg
1 1 6
Direct
0.0000 0.0000 0.0000
0.5000 0.5000 0.0000
0.0000 0.5000 0.0000
0.2791 0.2791 0.5000
0.2791 0.7209 0.5000
0.5000 0.0000 0.0000
0.7209 0.2791 0.5000
0.7209 0.7209 0.5000
```

Top 8 peaks for 2θ from 10° to 80°, sorted by position:
- hkl 0 0 1, 2θ = 18.62°, I 31
- hkl 1 1 0, 2θ = 18.73°, I 63
- hkl 2 0 0, 2θ = 26.55°, I 80
- hkl 2 0 1, 2θ = 32.67°, I 100
- hkl 2 2 0, 2θ = 37.98°, I 32
- hkl 2 2 1, 2θ = 42.64°, I 31
- hkl 3 1 1, 2θ = 46.93°, I 25
- hkl 4 2 1, 2θ = 65.28°, I 24

No. 2
Structure and theoretical powder XRD pattern of Nd2FeSi2Ru (a DFT-relaxed cell (PBE, the Materials Project); Cu Kα (λ = 1.5418 Å)).

Structural model:
```
Nd2FeSi2Ru
1.0
4.1656 0.0000 0.0000
0.0000 4.1656 0.0000
0.0000 0.0000 6.9522
Nd Fe Si Ru
2 1 2 1
Direct
0.0000 0.5000 0.1818
0.5000 0.0000 0.8182
0.0000 0.0000 0.5000
0.0000 0.5000 0.6709
0.5000 0.0000 0.3291
0.5000 0.5000 0.5000
```

Top 8 peaks for 2θ from 10° to 80°, sorted by position:
- hkl 1 0 1, 2θ = 24.92°, I 100
- hkl 1 1 1, 2θ = 33.03°, I 69
- hkl 1 0 2, 2θ = 33.58°, I 73
- hkl 1 1 2, 2θ = 40.13°, I 90
- hkl 2 0 0, 2θ = 43.45°, I 63
- hkl 2 1 1, 2θ = 50.74°, I 30
- hkl 2 1 2, 2θ = 56.00°, I 34
- hkl 2 0 3, 2θ = 59.69°, I 28